Diffraction record for Ti3Ga. The powder XRD pattern is calculated, not measured: it uses a DFT-relaxed cell (GGA-PBE, the Materials Project) and copper Kα.

Structure:
```
data_Ti3Ga
_chemical_formula_sum 'Ti3 Ga1'
_space_group_name_H-M_alt 'P 6/m m m'
_space_group_IT_number 191
_space_group_name_Hall '-P 6 2'
_cell_length_a 5.4711
_cell_length_b 5.4711
_cell_length_c 2.7454
_cell_angle_alpha 90.00
_cell_angle_beta 90.00
_cell_angle_gamma 120.00
loop_
_atom_site_label
_atom_site_fract_x
_atom_site_fract_y
_atom_site_fract_z
Ti1 0.0000 0.5000 0.0000
Ga1 0.0000 0.0000 0.0000
```

Peak list (12 most intense, 10° ≤ 2θ ≤ 80°, sorted by position)
d [Å]	I/Imax	index
4.738	7	1 0 0
2.745	52	0 0 1
2.736	2	1 1 0
2.375	3	1 0 1
2.369	100	2 0 0
1.938	2	1 1 1
1.794	82	2 0 1
1.500	2	2 1 1
1.373	5	0 0 2
1.368	16	2 2 0
1.318	1	1 0 2
1.224	21	2 2 1